# 1
Starting from the PBE geometry in Alexandria, the powder XRD pattern of TbNiSb3 was computed for Cu Kα (weighted mean of Kα1 and Kα2).

Structural model:
Cell: 12.431 6.173 6.059 Å, 90.00 90.00 90.00°
Space group Pbcm (No. 57)
One atom of each set of equivalent atoms:
Tb 0.195 0.001 0.250 (multiplicity 4)
Ni 0.398 0.250 0.000 (multiplicity 4)
Sb 0.002 0.250 0.000 (multiplicity 4)
Sb 0.274 0.504 0.250 (multiplicity 4)
Sb 0.448 0.600 0.750 (multiplicity 4)

The 10 most intense peaks (10° ≤ 2θ ≤ 90°), most intense first:
- 2θ 35.6, I = 100.0
- 2θ 41.8, I = 79.2
- 2θ 32.4, I = 75.7
- 2θ 32.9, I = 47.5
- 2θ 56.4, I = 46.1
- 2θ 36.7, I = 39.0
- 2θ 36.3, I = 28.5
- 2θ 70.1, I = 27.1
- 2θ 36.1, I = 26.5
- 2θ 29.9, I = 23.0

# 2
Starting from the PBE geometry in Alexandria, the powder XRD pattern of TbNi4Sb2 was computed for Cu Kα (weighted mean of Kα1 and Kα2).

Structural model:
Cell: 7.539 7.539 4.057 Å, 90.00 90.00 90.00°
Space group P4_2/mnm (No. 136)
One atom of each set of equivalent atoms:
Tb 0.000 0.000 0.000 (multiplicity 2)
Ni 0.093 0.362 0.500 (multiplicity 8)
Sb 0.217 0.783 0.500 (multiplicity 4)

The 10 most intense peaks (10° ≤ 2θ ≤ 90°), most intense first:
- 2θ 34.6, I = 100.0
- 2θ 44.1, I = 83.0
- 2θ 33.6, I = 49.1
- 2θ 44.7, I = 40.8
- 2θ 40.5, I = 38.0
- 2θ 37.7, I = 34.4
- 2θ 66.1, I = 21.8
- 2θ 57.1, I = 21.4
- 2θ 27.6, I = 20.4
- 2θ 42.3, I = 19.7